# Tm4MgSe5
Calculated powder X-ray diffraction pattern, a wavelength of 1.5418 Å. Input: a structure optimized by DFT (PBE).
Neutral-atom scattering factors, no anomalous dispersion.

Cell and atoms:
Cell lengths 6.9313, 6.9313, 6.9313 Å; angles 99.55, 99.55, 131.92 degrees
Atoms (fractional coordinates):
Tm: 0.0949 0.3085 0.4034
Tm: 0.3085 0.9051 0.2135
Tm: 0.6915 0.0949 0.7865
Tm: 0.9051 0.6915 0.5966
Mg: 0.5010 0.5010 0.0000
Se: 0.0006 0.0006 0.0000
Se: 0.2147 0.5996 0.8144
Se: 0.4004 0.2147 0.6151
Se: 0.5996 0.7853 0.3849
Se: 0.7853 0.4004 0.1856

Principal peaks in the range 10° ≤ 2θ ≤ 90°, most intense first:
d_spacing	2theta	Rel. int.
2.828	31.63	100.0
2.000	45.34	73.1
1.633	56.34	25.3
1.266	75.05	19.9
3.266	27.31	18.3
1.155	83.72	15.0
1.263	75.21	11.0
6.330	13.99	8.5
1.154	83.86	8.2
1.415	66.00	7.3

***

# Tm2MgSe4
Calculated powder X-ray diffraction pattern, a wavelength of 1.5418 Å. Input: a structure optimized by DFT (PBE).
Neutral-atom scattering factors, no anomalous dispersion.

Cell and atoms:
Cell lengths 7.9128, 7.9128, 7.9128 Å; angles 105.98, 105.98, 116.71 degrees
Atoms (fractional coordinates):
Tm: 0.1064 0.6250 0.9814
Tm: 0.3750 0.3564 0.4814
Tm: 0.6436 0.1250 0.0186
Tm: 0.8750 0.8936 0.5186
Mg: 0.2500 0.7500 0.5000
Mg: 0.5000 0.5000 0.0000
Se: 0.0916 0.3850 0.1973
Se: 0.1058 0.9084 0.2934
Se: 0.1350 0.3416 0.6973
Se: 0.1877 0.8942 0.8027
Se: 0.5623 0.8650 0.2066
Se: 0.6150 0.8123 0.7066
Se: 0.6442 0.4377 0.3027
Se: 0.6584 0.3558 0.7934

Principal peaks in the range 10° ≤ 2θ ≤ 90°, most intense first:
d_spacing	2theta	Rel. int.
2.438	36.86	100.0
4.763	18.63	94.3
1.975	45.95	52.2
3.130	28.52	48.8
3.534	25.20	47.9
2.382	37.77	45.0
1.903	47.80	21.8
1.565	59.03	19.1
3.013	29.65	18.4
1.198	80.13	18.1

***

# Tm2MgSe4
Calculated powder X-ray diffraction pattern, a wavelength of 1.5418 Å. Input: a structure optimized by DFT (PBE).
Neutral-atom scattering factors, no anomalous dispersion.

Cell and atoms:
Cell lengths 8.1894, 8.1894, 8.1894 Å; angles 60.00, 60.00, 60.00 degrees
Atoms (fractional coordinates):
Tm: 0.0000 0.0000 0.0000
Tm: 0.0000 0.0000 0.5000
Tm: 0.0000 0.5000 0.0000
Tm: 0.5000 0.0000 0.0000
Mg: 0.3750 0.3750 0.3750
Mg: 0.6250 0.6250 0.6250
Se: 0.2338 0.7554 0.7554
Se: 0.2446 0.2446 0.2446
Se: 0.2446 0.2446 0.7662
Se: 0.2446 0.7662 0.2446
Se: 0.7554 0.2338 0.7554
Se: 0.7554 0.7554 0.2338
Se: 0.7554 0.7554 0.7554
Se: 0.7662 0.2446 0.2446

Principal peaks in the range 10° ≤ 2θ ≤ 90°, most intense first:
d_spacing	2theta	Rel. int.
2.895	30.88	100.0
2.047	44.24	86.0
6.687	13.24	67.9
3.492	25.51	54.1
1.295	73.08	32.3
1.182	81.42	28.1
2.229	40.47	27.6
1.672	54.93	25.6
1.958	46.38	18.3
1.448	64.35	13.8

***

# Tm3MgSe6
Calculated powder X-ray diffraction pattern, a wavelength of 1.5418 Å. Input: a structure optimized by DFT (PBE).
Neutral-atom scattering factors, no anomalous dispersion.

Cell and atoms:
Cell lengths 8.6501, 8.6501, 6.9638 Å; angles 90.00, 90.00, 100.06 degrees
Atoms (fractional coordinates):
Tm: 0.0983 0.9017 0.5000
Tm: 0.2217 0.4211 0.4081
Tm: 0.4211 0.2217 0.9081
Tm: 0.5789 0.7783 0.4081
Tm: 0.7783 0.5789 0.9081
Tm: 0.9017 0.0983 0.0000
Mg: 0.2953 0.7047 0.8832
Mg: 0.7047 0.2953 0.3832
Se: 0.0503 0.5981 0.6796
Se: 0.1285 0.2011 0.7069
Se: 0.2011 0.1285 0.2069
Se: 0.2728 0.7272 0.2484
Se: 0.4019 0.9497 0.6796
Se: 0.4672 0.5328 0.7005
Se: 0.5328 0.4672 0.2005
Se: 0.5981 0.0503 0.1796
Se: 0.7272 0.2728 0.7484
Se: 0.7989 0.8715 0.7069
Se: 0.8715 0.7989 0.2069
Se: 0.9497 0.4019 0.1796

Principal peaks in the range 10° ≤ 2θ ≤ 90°, most intense first:
d_spacing	2theta	Rel. int.
2.492	36.04	100.0
2.630	34.09	95.9
3.633	24.50	88.8
2.401	37.45	68.2
5.391	16.44	65.7
2.156	41.90	56.4
3.537	25.18	53.0
1.853	49.18	31.7
1.364	68.83	27.4
1.467	63.43	21.4

***

# Tm2MgSe3
Calculated powder X-ray diffraction pattern, a wavelength of 1.5418 Å. Input: a structure optimized by DFT (PBE).
Neutral-atom scattering factors, no anomalous dispersion.

Cell and atoms:
Cell lengths 3.9477, 3.9477, 17.2681 Å; angles 90.00, 90.00, 90.00 degrees
Atoms (fractional coordinates):
Tm: 0.0000 0.0000 0.1774
Tm: 0.0000 0.0000 0.8226
Tm: 0.5000 0.5000 0.3226
Tm: 0.5000 0.5000 0.6774
Mg: 0.0000 0.0000 0.5000
Mg: 0.5000 0.5000 0.0000
Se: 0.0000 0.0000 0.0000
Se: 0.0000 0.0000 0.3431
Se: 0.0000 0.0000 0.6569
Se: 0.5000 0.5000 0.1569
Se: 0.5000 0.5000 0.5000
Se: 0.5000 0.5000 0.8431

Principal peaks in the range 10° ≤ 2θ ≤ 90°, most intense first:
d_spacing	2theta	Rel. int.
2.791	32.06	100.0
2.004	45.25	67.3
8.634	10.25	49.2
2.878	31.07	47.7
1.974	45.98	36.6
1.628	56.54	34.7
2.599	34.51	34.2
1.145	84.62	22.3
1.248	76.27	16.4
3.848	23.11	16.1

***

# Mg3U6Se14
Calculated powder X-ray diffraction pattern, a wavelength of 1.5418 Å. Input: a structure optimized by DFT (PBE).
Neutral-atom scattering factors, no anomalous dispersion.

Cell and atoms:
Cell lengths 10.1526, 10.1526, 6.3606 Å; angles 90.00, 90.00, 120.00 degrees
Atoms (fractional coordinates):
Mg: 0.0000 0.0000 0.0000
Mg: 0.3333 0.6667 0.4967
Mg: 0.6667 0.3333 0.3816
U: 0.0394 0.5567 0.0787
U: 0.2932 0.1077 0.5796
U: 0.4433 0.4827 0.0787
U: 0.5173 0.9606 0.0787
U: 0.8145 0.7068 0.5796
U: 0.8923 0.1855 0.5796
Se: 0.0000 0.0000 0.3902
Se: 0.1035 0.8438 0.8246
Se: 0.1562 0.2597 0.8246
Se: 0.1789 0.4070 0.3217
Se: 0.2281 0.8211 0.3217
Se: 0.3333 0.6667 0.8870
Se: 0.4146 0.1891 0.1413
Se: 0.5206 0.4390 0.6291
Se: 0.5610 0.0816 0.6291
Se: 0.5930 0.7719 0.3217
Se: 0.7403 0.8965 0.8246
Se: 0.7744 0.5854 0.1413
Se: 0.8109 0.2256 0.1413
Se: 0.9184 0.4794 0.6291

Principal peaks in the range 10° ≤ 2θ ≤ 90°, most intense first:
d_spacing	2theta	Rel. int.
3.616	24.62	100.0
2.577	34.82	87.6
5.153	17.21	86.5
2.538	35.36	78.9
2.662	33.67	74.3
2.298	39.21	68.9
2.277	39.58	63.0
1.837	49.63	46.7
2.945	30.35	44.9
1.910	47.62	39.2

***

# MgU3Se6
Calculated powder X-ray diffraction pattern, a wavelength of 1.5418 Å. Input: a structure optimized by DFT (PBE).
Neutral-atom scattering factors, no anomalous dispersion.

Cell and atoms:
Cell lengths 8.8464, 8.8464, 6.9291 Å; angles 90.00, 90.00, 101.79 degrees
Atoms (fractional coordinates):
Mg: 0.1981 0.8019 0.5000
Mg: 0.8019 0.1981 0.0000
U: 0.0792 0.2769 0.4692
U: 0.2769 0.0792 0.9692
U: 0.4014 0.5986 0.8684
U: 0.5986 0.4014 0.3684
U: 0.7231 0.9208 0.4692
U: 0.9208 0.7231 0.9692
Se: 0.0294 0.9706 0.6772
Se: 0.0945 0.5541 0.6991
Se: 0.2280 0.7720 0.1356
Se: 0.3019 0.3729 0.1683
Se: 0.3729 0.3019 0.6683
Se: 0.4459 0.9055 0.6991
Se: 0.5541 0.0945 0.1991
Se: 0.6271 0.6981 0.1683
Se: 0.6981 0.6271 0.6683
Se: 0.7720 0.2280 0.6356
Se: 0.9055 0.4459 0.1991
Se: 0.9706 0.0294 0.1772

Principal peaks in the range 10° ≤ 2θ ≤ 90°, most intense first:
d_spacing	2theta	Rel. int.
3.672	24.24	100.0
2.493	36.02	86.9
2.665	33.63	69.5
5.410	16.38	69.3
3.613	24.64	63.6
2.209	40.85	56.6
2.438	36.86	51.2
1.861	48.95	44.1
4.877	18.19	27.2
1.927	47.17	21.6

***

# Y3MgSe6
Calculated powder X-ray diffraction pattern, a wavelength of 1.5418 Å. Input: a structure optimized by DFT (PBE).
Neutral-atom scattering factors, no anomalous dispersion.

Cell and atoms:
Cell lengths 9.0669, 9.0669, 6.7213 Å; angles 90.00, 90.00, 102.66 degrees
Atoms (fractional coordinates):
Y: 0.1084 0.8916 0.5000
Y: 0.2145 0.4269 0.4177
Y: 0.4269 0.2145 0.9177
Y: 0.5731 0.7855 0.4177
Y: 0.7855 0.5731 0.9177
Y: 0.8916 0.1084 0.0000
Mg: 0.3049 0.6951 0.8741
Mg: 0.6951 0.3049 0.3741
Se: 0.0571 0.5939 0.6850
Se: 0.1400 0.1851 0.7112
Se: 0.1851 0.1400 0.2112
Se: 0.2752 0.7248 0.2466
Se: 0.4061 0.9429 0.6850
Se: 0.4723 0.5277 0.7079
Se: 0.5277 0.4723 0.2079
Se: 0.5939 0.0571 0.1850
Se: 0.7248 0.2752 0.7466
Se: 0.8149 0.8600 0.7112
Se: 0.8600 0.8149 0.2112
Se: 0.9429 0.4061 0.1850

Principal peaks in the range 10° ≤ 2θ ≤ 90°, most intense first:
d_spacing	2theta	Rel. int.
2.472	36.34	100.0
2.700	33.18	95.4
2.437	36.88	88.5
2.266	39.79	71.3
3.695	24.09	60.8
5.352	16.56	46.0
1.493	62.19	35.1
1.888	48.19	31.4
1.909	47.63	30.5
3.134	28.48	29.8

***

# Mg2Zn2Se
Calculated powder X-ray diffraction pattern, a wavelength of 1.5418 Å. Input: a structure optimized by DFT (PBE).
Neutral-atom scattering factors, no anomalous dispersion.

Cell and atoms:
Cell lengths 8.7830, 8.7830, 4.6741 Å; angles 90.00, 90.00, 145.53 degrees
Atoms (fractional coordinates):
Mg: 0.1452 0.8548 0.5000
Mg: 0.3348 0.6652 0.4992
Mg: 0.6652 0.3348 0.9992
Mg: 0.8548 0.1452 0.0000
Zn: 0.0320 0.9680 0.0009
Zn: 0.2381 0.7619 0.9996
Zn: 0.7619 0.2381 0.4996
Zn: 0.9680 0.0320 0.5009
Se: 0.4101 0.5899 0.9989
Se: 0.5899 0.4101 0.4989

Principal peaks in the range 10° ≤ 2θ ≤ 90°, most intense first:
d_spacing	2theta	Rel. int.
2.415	37.24	100.0
2.602	34.47	58.1
3.405	26.17	46.3
2.337	38.52	42.6
1.739	52.64	33.4
2.820	31.73	29.9
1.464	63.57	29.9
2.400	37.48	22.2
1.764	51.83	16.9
1.364	68.85	15.7

***

# Mg9ZnSe2
Calculated powder X-ray diffraction pattern, a wavelength of 1.5418 Å. Input: a structure optimized by DFT (PBE).
Neutral-atom scattering factors, no anomalous dispersion.

Cell and atoms:
Cell lengths 5.7020, 5.7020, 11.1448 Å; angles 104.77, 104.77, 60.00 degrees
Atoms (fractional coordinates):
Mg: 0.0000 0.0000 0.0000
Mg: 0.0815 0.0815 0.7472
Mg: 0.0817 0.5836 0.7476
Mg: 0.1668 0.1668 0.4998
Mg: 0.4164 0.9183 0.2524
Mg: 0.5836 0.0817 0.7476
Mg: 0.8332 0.8332 0.5002
Mg: 0.9183 0.4164 0.2524
Mg: 0.9185 0.9185 0.2528
Zn: 0.5000 0.5000 0.5000
Se: 0.3931 0.3931 0.1782
Se: 0.6069 0.6069 0.8218

Principal peaks in the range 10° ≤ 2θ ≤ 90°, most intense first:
d_spacing	2theta	Rel. int.
2.851	31.38	100.0
2.223	40.58	96.7
2.462	36.50	77.9
3.105	28.75	75.7
2.303	39.11	58.5
4.880	18.18	54.7
3.550	25.08	54.7
1.507	61.54	49.3
2.683	33.40	47.1
1.954	46.48	40.2

***

# MgZn2Se9
Calculated powder X-ray diffraction pattern, a wavelength of 1.5418 Å. Input: a structure optimized by DFT (PBE).
Neutral-atom scattering factors, no anomalous dispersion.

Cell and atoms:
Cell lengths 5.6257, 5.6257, 10.3455 Å; angles 93.23, 93.23, 79.22 degrees
Atoms (fractional coordinates):
Mg: 0.0000 0.0000 0.0000
Zn: 0.4897 0.4897 0.3323
Zn: 0.5103 0.5103 0.6677
Se: 0.0000 0.0000 0.5000
Se: 0.1401 0.6441 0.1790
Se: 0.2941 0.2941 0.5043
Se: 0.3130 0.3130 0.0336
Se: 0.3559 0.8599 0.8210
Se: 0.6441 0.1401 0.1790
Se: 0.6870 0.6870 0.9664
Se: 0.7059 0.7059 0.4957
Se: 0.8599 0.3559 0.8210

Principal peaks in the range 10° ≤ 2θ ≤ 90°, most intense first:
d_spacing	2theta	Rel. int.
2.945	30.35	100.0
3.439	25.90	88.6
4.095	21.70	60.8
2.311	38.98	41.3
2.636	34.01	35.7
3.388	26.31	35.4
1.930	47.08	34.2
1.851	49.22	31.7
5.520	16.06	31.0
1.793	50.92	31.0

***

# MgZnSe
Calculated powder X-ray diffraction pattern, a wavelength of 1.5418 Å. Input: a structure optimized by DFT (PBE).
Neutral-atom scattering factors, no anomalous dispersion.

Cell and atoms:
Cell lengths 6.8938, 5.2759, 8.4871 Å; angles 90.00, 118.75, 90.00 degrees
Atoms (fractional coordinates):
Mg: 0.2437 0.0028 0.3705
Mg: 0.2437 0.4972 0.8705
Mg: 0.7563 0.5028 0.1295
Mg: 0.7563 0.9972 0.6295
Zn: 0.4712 0.5016 0.2759
Zn: 0.4712 0.9984 0.7759
Zn: 0.5288 0.0016 0.2241
Zn: 0.5288 0.4984 0.7241
Se: 0.1857 0.5024 0.3860
Se: 0.1857 0.9976 0.8860
Se: 0.8143 0.0024 0.1140
Se: 0.8143 0.4976 0.6140

Principal peaks in the range 10° ≤ 2θ ≤ 90°, most intense first:
d_spacing	2theta	Rel. int.
2.638	33.98	100.0
2.650	33.83	97.2
3.224	27.67	80.1
1.870	48.71	67.6
4.304	20.64	65.9
2.042	44.37	43.4
2.359	38.14	37.7
6.044	14.66	34.9
1.991	45.57	32.0
2.058	44.01	31.0